Computed PXRD pattern
Compound: Pr3YS4
Radiation: a wavelength of 1.5418 Å
Structure: a cell relaxed with GGA-PBE
No peak broadening, texture or thermal motion is included.

a b c (Å): 7.0783 8.0651 7.0316
angles (deg): 90.00 109.36 90.00
Fractional coordinates of all 16 atoms:
1 Pr 0.0000 0.1230 0.2500
2 Pr 0.0000 0.3738 0.7500
3 Pr 0.0000 0.6262 0.2500
4 Pr 0.0000 0.8770 0.7500
5 Pr 0.5000 0.1239 0.7500
6 Pr 0.5000 0.8761 0.2500
7 Y 0.5000 0.3737 0.2500
8 Y 0.5000 0.6263 0.7500
9 S 0.2565 0.1317 0.0064
10 S 0.2565 0.8683 0.5064
11 S 0.2620 0.3812 0.4997
12 S 0.2620 0.6188 0.9997
13 S 0.7380 0.3812 0.0003
14 S 0.7380 0.6188 0.5003
15 S 0.7435 0.1317 0.4936
16 S 0.7435 0.8683 0.9936

The 10 most intense peaks (2θ = 10–90°), by angle:
d = 3.339 Å, 26.7 deg, intensity 254
d = 3.317 Å, 26.9 deg, intensity 249
d = 3.303 Å, 27.0 deg, intensity 494
d = 2.878 Å, 31.1 deg, intensity 505
d = 2.868 Å, 31.2 deg, intensity 1000
d = 2.037 Å, 44.5 deg, intensity 545
d = 2.026 Å, 44.7 deg, intensity 359
d = 2.016 Å, 45.0 deg, intensity 176
d = 1.732 Å, 52.9 deg, intensity 207
d = 1.651 Å, 55.7 deg, intensity 184

Computed PXRD pattern
Compound: ScSiP2C
Radiation: a wavelength of 1.5418 Å
Structure: a cell relaxed with GGA-PBE
No peak broadening, texture or thermal motion is included.

a b c (Å): 4.8612 4.8612 5.1335
angles (deg): 90.00 90.00 90.00
Fractional coordinates of all 5 atoms:
1 Sc 0.0000 0.0000 0.0000
2 Si 0.0000 0.0000 0.5000
3 P 0.0000 0.5000 0.0000
4 P 0.5000 0.0000 0.0000
5 C 0.5000 0.5000 0.5000

The 10 most intense peaks (2θ = 10–90°), by angle:
d = 5.134 Å, 17.3 deg, intensity 666
d = 4.861 Å, 18.2 deg, intensity 1000
d = 2.856 Å, 31.3 deg, intensity 409
d = 2.567 Å, 35.0 deg, intensity 490
d = 2.431 Å, 37.0 deg, intensity 826
d = 2.270 Å, 39.7 deg, intensity 254
d = 2.197 Å, 41.1 deg, intensity 256
d = 1.765 Å, 51.8 deg, intensity 568
d = 1.719 Å, 53.3 deg, intensity 259
d = 1.428 Å, 65.3 deg, intensity 271